For Pr3Tl4Zn2, a cell relaxed with GGA-PBE gives the computed X-ray diffraction stick pattern in this record (Cu Kα, 1.54184 Å).
No peak broadening, texture or thermal motion is included.

Main lines, low angle first (2θ from 10° to 80°):
Position (°2θ)	d/Å	I_rel
29.40	3.038	173
30.95	2.889	468
31.26	2.862	349
31.41	2.848	239
36.82	2.441	1000
66.33	1.409	174

Atomic structure:
abc: 6.313 6.313 9.253
angles: 110.74 110.74 45.49
Sites, in units of the cell vectors:
Pr1 0.000 0.000 0.000
Pr2 0.337 0.337 0.332
Pr3 0.663 0.663 0.668
Tl1 0.081 0.081 0.406
Tl2 0.313 0.313 0.968
Tl3 0.687 0.687 0.032
Tl4 0.919 0.919 0.594
Zn1 0.379 0.379 0.710
Zn2 0.621 0.621 0.290

=====

For Mg2Ni5GeB2, a cell relaxed with GGA-PBE gives the computed X-ray diffraction stick pattern in this record (Cu Kα, 1.54184 Å).
No peak broadening, texture or thermal motion is included.

Main lines, low angle first (2θ from 10° to 80°):
Position (°2θ)	d/Å	I_rel
38.24	2.353	356
42.39	2.132	422
42.72	2.117	502
44.98	2.015	1000
46.54	1.952	486
48.66	1.871	338

Atomic structure:
abc: 8.727 8.727 2.950
angles: 90.00 90.00 90.00
Sites, in units of the cell vectors:
Mg1 0.176 0.324 0.000
Mg2 0.324 0.824 0.000
Mg3 0.676 0.176 0.000
Mg4 0.824 0.676 0.000
Ni1 0.000 0.500 0.500
Ni2 0.069 0.778 0.500
Ni3 0.222 0.069 0.500
Ni4 0.278 0.569 0.500
Ni5 0.431 0.278 0.500
Ni6 0.500 0.000 0.500
Ni7 0.569 0.722 0.500
Ni8 0.722 0.431 0.500
Ni9 0.778 0.931 0.500
Ni10 0.931 0.222 0.500
Ge1 0.000 0.000 0.000
Ge2 0.500 0.500 0.000
B1 0.120 0.620 0.000
B2 0.380 0.120 0.000
B3 0.620 0.880 0.000
B4 0.880 0.380 0.000

=====

For VZnN2, a cell relaxed with GGA-PBE gives the computed X-ray diffraction stick pattern in this record (Cu Kα, 1.54184 Å).
No peak broadening, texture or thermal motion is included.

Main lines, low angle first (2θ from 10° to 80°):
Position (°2θ)	d/Å	I_rel
32.09	2.789	481
34.08	2.631	380
36.46	2.464	1000
57.20	1.610	306
62.56	1.485	314
68.29	1.374	255

Atomic structure:
abc: 5.583 6.437 5.262
angles: 90.00 90.00 90.00
Sites, in units of the cell vectors:
V1 0.078 0.124 0.000
V2 0.422 0.624 0.500
V3 0.578 0.376 0.000
V4 0.922 0.876 0.500
Zn1 0.087 0.622 0.002
Zn2 0.413 0.122 0.502
Zn3 0.587 0.878 0.002
Zn4 0.913 0.378 0.502
N1 0.068 0.112 0.358
N2 0.099 0.640 0.394
N3 0.401 0.140 0.894
N4 0.432 0.612 0.858
N5 0.568 0.388 0.358
N6 0.599 0.860 0.394
N7 0.901 0.360 0.894
N8 0.932 0.888 0.858

=====

For Tc2As3, a cell relaxed with GGA-PBE gives the computed X-ray diffraction stick pattern in this record (Cu Kα, 1.54184 Å).
No peak broadening, texture or thermal motion is included.

Main lines, low angle first (2θ from 10° to 80°):
Position (°2θ)	d/Å	I_rel
33.32	2.689	662
35.19	2.550	1000
39.46	2.284	430
41.15	2.194	516
44.27	2.046	863
51.21	1.784	400

Atomic structure:
abc: 6.675 6.687 8.061
angles: 95.76 101.63 104.49
Sites, in units of the cell vectors:
Tc1 0.031 0.364 0.365
Tc2 0.132 0.071 0.867
Tc3 0.411 0.624 0.625
Tc4 0.416 0.926 0.142
Tc5 0.584 0.074 0.858
Tc6 0.589 0.376 0.375
Tc7 0.868 0.929 0.133
Tc8 0.969 0.636 0.635
As1 0.045 0.706 0.964
As2 0.128 0.345 0.680
As3 0.236 0.093 0.347
As4 0.264 0.934 0.614
As5 0.359 0.628 0.314
As6 0.468 0.310 0.050
As7 0.532 0.690 0.950
As8 0.641 0.372 0.686
As9 0.736 0.066 0.386
As10 0.764 0.907 0.653
As11 0.872 0.655 0.320
As12 0.955 0.294 0.036

=====

For InFe4Sb, a cell relaxed with GGA-PBE gives the computed X-ray diffraction stick pattern in this record (Cu Kα, 1.54184 Å).
No peak broadening, texture or thermal motion is included.

Main lines, low angle first (2θ from 10° to 80°):
Position (°2θ)	d/Å	I_rel
35.62	2.521	555
42.03	2.150	1000
44.00	2.058	195
63.98	1.455	193
68.37	1.372	292
75.42	1.260	221

Atomic structure:
abc: 5.041 5.041 5.041
angles: 60.00 60.00 60.00
Sites, in units of the cell vectors:
In1 0.000 0.000 0.000
Fe1 0.374 0.374 0.374
Fe2 0.374 0.374 0.877
Fe3 0.374 0.877 0.374
Fe4 0.877 0.374 0.374
Sb1 0.750 0.750 0.750

=====

For In3Hg3Se8, a cell relaxed with GGA-PBE gives the computed X-ray diffraction stick pattern in this record (Cu Kα, 1.54184 Å).
No peak broadening, texture or thermal motion is included.

Main lines, low angle first (2θ from 10° to 80°):
Position (°2θ)	d/Å	I_rel
21.56	4.123	421
25.40	3.507	1000
30.79	2.904	442
40.29	2.238	644
43.92	2.061	674
44.27	2.046	650

Atomic structure:
abc: 8.184 8.184 8.184
angles: 60.50 60.50 60.50
Sites, in units of the cell vectors:
In1 0.000 0.500 0.500
In2 0.500 0.000 0.500
In3 0.500 0.500 0.000
Hg1 0.123 0.123 0.123
Hg2 0.500 0.500 0.500
Hg3 0.877 0.877 0.877
Se1 0.258 0.258 0.720
Se2 0.258 0.720 0.258
Se3 0.259 0.259 0.259
Se4 0.280 0.742 0.742
Se5 0.720 0.258 0.258
Se6 0.741 0.741 0.741
Se7 0.742 0.280 0.742
Se8 0.742 0.742 0.280

=====

For Sm4ZnGe3, a cell relaxed with GGA-PBE gives the computed X-ray diffraction stick pattern in this record (Cu Kα, 1.54184 Å).
No peak broadening, texture or thermal motion is included.

Main lines, low angle first (2θ from 10° to 80°):
Position (°2θ)	d/Å	I_rel
27.03	3.299	229
31.03	2.882	1000
31.76	2.817	396
32.27	2.774	282
38.77	2.322	526
41.54	2.174	251

Atomic structure:
abc: 4.103 4.348 11.095
angles: 90.00 90.00 90.00
Sites, in units of the cell vectors:
Sm1 0.000 0.000 0.000
Sm2 0.000 0.500 0.497
Sm3 0.500 0.000 0.276
Sm4 0.500 0.500 0.779
Zn1 0.500 0.000 0.568
Ge1 0.000 0.000 0.717
Ge2 0.000 0.500 0.218
Ge3 0.500 0.500 0.055